(1)
CdIn5Se8: computed powder X-ray diffraction pattern (Cu Kα (weighted mean of Kα1 and Kα2)), based on a DFT-relaxed cell (GGA-PBE, Alexandria).
Peak positions follow from Bragg's law for the DFT cell and can differ from measured ones.

Cell lengths 11.643, 11.643, 11.643 Å; angles 90.00, 90.00, 90.00 degrees
Space group F-43m (No. 216)
One atom of each set of equivalent atoms:
Cd (0.000, 0.000, 0.000) (multiplicity 4)
In (0.127, 0.127, 0.373) (multiplicity 16)
In (0.250, 0.250, 0.750) (multiplicity 4)
Se (0.115, 0.115, 0.615) (multiplicity 16)
Se (0.134, 0.134, 0.134) (multiplicity 16)

Principal peaks in the range 10° ≤ 2θ ≤ 80°, most intense first:
2θ (°)	I (rel.)	hkl
44.0	100	4 4 0
25.4	75	3 1 1
30.7	59	4 0 0
40.2	45	5 1 1
21.6	23	2 2 0
61.1	16	5 5 3
72.6	16	8 4 0
64.0	15	8 0 0
54.6	14	4 4 4
13.2	13	1 1 1

---

(2)
CdIn2Se4: computed powder X-ray diffraction pattern (Cu Kα (weighted mean of Kα1 and Kα2)), based on a DFT-relaxed cell (GGA-PBE, Alexandria).
Peak positions follow from Bragg's law for the DFT cell and can differ from measured ones.

Cell lengths 5.743, 5.743, 11.112 Å; angles 90.00, 90.00, 90.00 degrees
Space group I-4m2 (No. 119)
One atom of each set of equivalent atoms:
Cd (0.000, 0.000, 0.000) (multiplicity 2)
In (0.000, 0.000, 0.500) (multiplicity 2)
In (0.000, 0.500, 0.250) (multiplicity 2)
Se (0.000, 0.000, 0.258) (multiplicity 4)
Se (0.000, 0.500, 0.010) (multiplicity 4)

Principal peaks in the range 10° ≤ 2θ ≤ 80°, most intense first:
2θ (°)	I (rel.)	hkl
31.1	100	2 0 0
45.4	67	2 0 4
32.2	44	0 0 4
44.6	36	2 2 0
56.1	35	2 2 4
17.4	30	1 0 1
73.8	16	4 2 0
74.4	15	4 0 4
76.1	14	2 0 8
65.0	12	4 0 0

---

(3)
CdIn2Se4: computed powder X-ray diffraction pattern (Cu Kα (weighted mean of Kα1 and Kα2)), based on a DFT-relaxed cell (GGA-PBE, Alexandria).
Peak positions follow from Bragg's law for the DFT cell and can differ from measured ones.

Cell lengths 5.985, 5.985, 11.786 Å; angles 90.00, 90.00, 90.00 degrees
Space group I-4 (No. 82)
One atom of each set of equivalent atoms:
Cd (0.000, 0.000, 0.000) (multiplicity 2)
In (0.000, 0.000, 0.500) (multiplicity 2)
In (0.000, 0.500, 0.750) (multiplicity 2)
Se (0.227, 0.735, 0.363) (multiplicity 8)

Principal peaks in the range 10° ≤ 2θ ≤ 80°, most intense first:
2θ (°)	I (rel.)	hkl
25.9	100	1 1 2
43.1	48	2 0 4
50.7	29	1 3 2
42.7	25	2 2 0
78.5	14	4 2 4
51.3	14	1 1 6
68.9	13	3 1 6
34.4	10	2 1 1
16.6	10	1 0 1
27.2	8	1 0 3

---

(4)
CdIn2Se4: computed powder X-ray diffraction pattern (Cu Kα (weighted mean of Kα1 and Kα2)), based on a DFT-relaxed cell (GGA-PBE, Alexandria).
Peak positions follow from Bragg's law for the DFT cell and can differ from measured ones.

Cell lengths 5.890, 5.890, 6.080 Å; angles 90.00, 90.00, 90.00 degrees
Space group P-42m (No. 111)
One atom of each set of equivalent atoms:
Cd (0.000, 0.000, 0.000) (multiplicity 1)
In (0.000, 0.500, 0.500) (multiplicity 2)
Se (0.273, 0.273, 0.765) (multiplicity 4)

Principal peaks in the range 10° ≤ 2θ ≤ 80°, most intense first:
2θ (°)	I (rel.)	hkl
25.9	100	1 1 1
42.7	49	2 0 2
51.3	27	3 1 1
43.5	23	2 2 0
50.1	15	1 1 3
79.3	13	4 2 2
68.4	11	3 1 3
21.0	9	1 0 1
37.2	8	2 1 1
77.8	7	2 2 4

---

(5)
CdInSi: computed powder X-ray diffraction pattern (Cu Kα (weighted mean of Kα1 and Kα2)), based on a DFT-relaxed cell (GGA-PBE, Alexandria).
Peak positions follow from Bragg's law for the DFT cell and can differ from measured ones.

Cell lengths 5.1283, 5.1283, 2.9318 Å; angles 90.00, 90.00, 120.00 degrees
Space group P3m1 (No. 156)
One atom of each set of equivalent atoms:
Cd (0.0000, 0.0000, 0.0000) (multiplicity 1)
In (0.3333, 0.6667, 0.5808) (multiplicity 1)
Si (0.6667, 0.3333, 0.6489) (multiplicity 1)

Principal peaks in the range 10° ≤ 2θ ≤ 80°, most intense first:
2θ (°)	I (rel.)	hkl
35.0	100	1 1 0
36.7	99	1 0 1
20.0	44	1 0 0
63.9	37	2 1 1
51.6	36	0 2 1
62.8	17	3 0 0
74.6	13	1 1 2
73.9	11	2 2 0
67.3	8	0 1 2
47.1	8	1 1 1

---

(6)
Sm6Cd6In: computed powder X-ray diffraction pattern (Cu Kα (weighted mean of Kα1 and Kα2)), based on a DFT-relaxed cell (GGA-PBE, Alexandria).
Peak positions follow from Bragg's law for the DFT cell and can differ from measured ones.

Cell lengths 6.1403, 6.1403, 11.2702 Å; angles 90.00, 90.00, 120.00 degrees
Space group P6/mmm (No. 191)
One atom of each set of equivalent atoms:
Sm (0.0000, 0.0000, 0.1603) (multiplicity 2)
Sm (0.3333, 0.6667, 0.0000) (multiplicity 2)
Sm (0.3333, 0.6667, 0.5000) (multiplicity 2)
Cd (0.0000, 0.5000, 0.2550) (multiplicity 6)
In (0.0000, 0.0000, 0.5000) (multiplicity 1)

Principal peaks in the range 10° ≤ 2θ ≤ 80°, most intense first:
2θ (°)	I (rel.)	hkl
37.4	100	2 0 2
29.1	97	1 1 0
33.2	92	1 1 2
57.5	48	1 1 6
33.7	43	2 0 0
60.3	43	2 2 0
36.1	40	1 0 4
31.8	38	0 0 4
51.6	32	3 0 0
69.8	22	2 2 4

---

(7)
SmCdIn: computed powder X-ray diffraction pattern (Cu Kα (weighted mean of Kα1 and Kα2)), based on a DFT-relaxed cell (GGA-PBE, Alexandria).
Peak positions follow from Bragg's law for the DFT cell and can differ from measured ones.

Cell lengths 4.9127, 4.9127, 7.6149 Å; angles 90.00, 90.00, 120.00 degrees
Space group P-3m1 (No. 164)
One atom of each set of equivalent atoms:
Sm (0.0000, 0.0000, 0.2383) (multiplicity 2)
Cd (0.3333, 0.6667, 0.9751) (multiplicity 2)
In (0.3333, 0.6667, 0.5528) (multiplicity 2)

Principal peaks in the range 10° ≤ 2θ ≤ 80°, most intense first:
2θ (°)	I (rel.)	hkl
31.5	100	1 0 2
36.6	77	1 1 0
49.1	29	0 2 2
62.7	27	2 1 2
61.6	16	1 1 4
65.9	15	3 0 0
41.4	15	0 1 3
77.8	10	2 2 0
24.0	8	1 0 1
69.2	6	1 2 3

---

(8)
SmCdIn: computed powder X-ray diffraction pattern (Cu Kα (weighted mean of Kα1 and Kα2)), based on a DFT-relaxed cell (GGA-PBE, Alexandria).
Peak positions follow from Bragg's law for the DFT cell and can differ from measured ones.

Cell lengths 11.307, 4.956, 7.354 Å; angles 90.00, 130.53, 90.00 degrees
Space group C2/m (No. 12)
One atom of each set of equivalent atoms:
Sm (0.009, 0.000, 0.257) (multiplicity 4)
Cd (0.165, 0.500, 0.146) (multiplicity 4)
In (0.167, 0.500, 0.679) (multiplicity 4)

Principal peaks in the range 10° ≤ 2θ ≤ 80°, most intense first:
2θ (°)	I (rel.)	hkl
32.0	100	1 1 -2
36.2	75	0 2 0
49.1	30	2 0 2
62.6	28	1 3 -2
62.9	26	4 2 -4
65.2	13	3 3 0
49.6	9	4 0 -4
76.9	8	0 4 0
44.1	4	5 1 -2
24.2	3	2 0 -2

---

(9)
SmCd6In: computed powder X-ray diffraction pattern (Cu Kα (weighted mean of Kα1 and Kα2)), based on a DFT-relaxed cell (GGA-PBE, Alexandria).
Peak positions follow from Bragg's law for the DFT cell and can differ from measured ones.

Cell lengths 4.834, 7.761, 10.260 Å; angles 90.00, 90.00, 90.00 degrees
Space group Amm2 (No. 38)
One atom of each set of equivalent atoms:
Sm (0.000, 0.000, 0.000) (multiplicity 2)
Cd (0.000, 0.000, 0.421) (multiplicity 2)
Cd (0.000, 0.197, 0.709) (multiplicity 4)
Cd (0.500, 0.000, 0.798) (multiplicity 2)
Cd (0.500, 0.207, 0.507) (multiplicity 4)
In (0.500, 0.000, 0.226) (multiplicity 2)

Principal peaks in the range 10° ≤ 2θ ≤ 80°, most intense first:
2θ (°)	I (rel.)	hkl
34.4	100	1 2 2
34.1	33	1 1 3
37.2	30	2 0 0
35.0	15	0 0 4
65.3	15	3 2 2
70.3	13	2 3 5
69.3	12	1 5 3
35.8	12	0 3 1
57.3	12	0 3 5
52.0	10	2 0 4

---

(10)
Sm6CdIn6: computed powder X-ray diffraction pattern (Cu Kα (weighted mean of Kα1 and Kα2)), based on a DFT-relaxed cell (GGA-PBE, Alexandria).
Peak positions follow from Bragg's law for the DFT cell and can differ from measured ones.

Cell lengths 6.4205, 6.4205, 10.8051 Å; angles 90.00, 90.00, 120.00 degrees
Space group P6/mmm (No. 191)
One atom of each set of equivalent atoms:
Sm (0.0000, 0.0000, 0.1904) (multiplicity 2)
Sm (0.3333, 0.6667, 0.0000) (multiplicity 2)
Sm (0.3333, 0.6667, 0.5000) (multiplicity 2)
Cd (0.0000, 0.0000, 0.5000) (multiplicity 1)
In (0.0000, 0.5000, 0.2497) (multiplicity 6)

Principal peaks in the range 10° ≤ 2θ ≤ 80°, most intense first:
2θ (°)	I (rel.)	hkl
36.3	100	2 0 2
32.4	59	1 1 2
27.8	50	1 1 0
32.2	38	2 0 0
33.2	36	0 0 4
57.4	31	2 2 0
67.9	26	2 2 4
58.8	26	1 1 6
29.6	21	1 0 3
52.2	15	3 0 2

---

(11)
Sm3Cd3In2: computed powder X-ray diffraction pattern (Cu Kα (weighted mean of Kα1 and Kα2)), based on a DFT-relaxed cell (GGA-PBE, Alexandria).
Peak positions follow from Bragg's law for the DFT cell and can differ from measured ones.

Cell lengths 4.787, 11.483, 15.827 Å; angles 90.00, 90.00, 90.00 degrees
Space group Cmcm (No. 63)
One atom of each set of equivalent atoms:
Sm (0.000, 0.084, 0.110) (multiplicity 8)
Sm (0.000, 0.355, 0.250) (multiplicity 4)
Cd (0.000, 0.367, 0.750) (multiplicity 4)
Cd (0.000, 0.385, 0.035) (multiplicity 8)
In (0.000, 0.206, 0.608) (multiplicity 8)

Principal peaks in the range 10° ≤ 2θ ≤ 80°, most intense first:
2θ (°)	I (rel.)	hkl
30.3	100	1 1 4
34.5	60	1 3 3
37.6	45	2 0 0
37.7	38	1 3 4
30.4	31	1 3 1
31.2	19	0 4 0
62.3	17	1 1 10
31.7	15	0 4 1
34.0	14	0 0 6
63.4	14	3 1 4

---

(12)
SmCd4In2: computed powder X-ray diffraction pattern (Cu Kα (weighted mean of Kα1 and Kα2)), based on a DFT-relaxed cell (GGA-PBE, Alexandria).
Peak positions follow from Bragg's law for the DFT cell and can differ from measured ones.

Cell lengths 4.542, 17.041, 4.479 Å; angles 90.00, 90.00, 90.00 degrees
Space group Cmmm (No. 65)
One atom of each set of equivalent atoms:
Sm (0.000, 0.000, 0.000) (multiplicity 2)
Cd (0.000, 0.185, 0.500) (multiplicity 4)
Cd (0.000, 0.310, 0.000) (multiplicity 4)
In (0.000, 0.420, 0.500) (multiplicity 4)

Principal peaks in the range 10° ≤ 2θ ≤ 80°, most intense first:
2θ (°)	I (rel.)	hkl
32.2	100	1 3 1
38.7	37	1 5 1
39.7	29	2 0 0
40.3	28	0 0 2
57.8	19	2 0 2
28.9	15	0 4 1
32.9	15	1 5 0
67.3	13	3 3 1
79.0	13	1 13 1
28.5	13	1 1 1

---

- Which formula does entry 10 have?
  Sm6CdIn6

---

Repeat the sixth record exactly.
Sm6Cd6In: computed powder X-ray diffraction pattern (Cu Kα (weighted mean of Kα1 and Kα2)), based on a DFT-relaxed cell (GGA-PBE, Alexandria).
Peak positions follow from Bragg's law for the DFT cell and can differ from measured ones.

Cell lengths 6.1403, 6.1403, 11.2702 Å; angles 90.00, 90.00, 120.00 degrees
Space group P6/mmm (No. 191)
One atom of each set of equivalent atoms:
Sm (0.0000, 0.0000, 0.1603) (multiplicity 2)
Sm (0.3333, 0.6667, 0.0000) (multiplicity 2)
Sm (0.3333, 0.6667, 0.5000) (multiplicity 2)
Cd (0.0000, 0.5000, 0.2550) (multiplicity 6)
In (0.0000, 0.0000, 0.5000) (multiplicity 1)

Principal peaks in the range 10° ≤ 2θ ≤ 80°, most intense first:
2θ (°)	I (rel.)	hkl
37.4	100	2 0 2
29.1	97	1 1 0
33.2	92	1 1 2
57.5	48	1 1 6
33.7	43	2 0 0
60.3	43	2 2 0
36.1	40	1 0 4
31.8	38	0 0 4
51.6	32	3 0 0
69.8	22	2 2 4